(1)
Ac2Nd6Th: simulated powder X-ray diffraction pattern (copper Kα), based on a GGA-PBE-relaxed structure.
Kinematic intensities with the Lorentz-polarization factor, no thermal factor.

Largest 8 diffraction maxima, in order of rising 2θ, 2θ from 10° to 90°:
2theta, d/Å, intensity
27.60, 3.232, 43
28.90, 3.090, 45
30.50, 2.931, 59
32.03, 2.794, 100
40.39, 2.233, 28
48.81, 1.866, 37
54.20, 1.692, 31
57.72, 1.597, 40

Structure:
```
Ac2Nd6Th
1.0
3.732 0.000 0.000
-1.866 3.232 0.000
0.000 0.000 27.807
Ac Nd Th
2 6 1
direct
0.000 0.000 0.172
0.000 0.000 0.828
0.000 0.000 0.395
0.000 0.000 0.605
0.667 0.333 0.061
0.667 0.333 0.287
0.667 0.333 0.713
0.667 0.333 0.939
0.667 0.333 0.500
```

---

(2)
FeAgIr2: simulated powder X-ray diffraction pattern (copper Kα), based on a GGA-PBE-relaxed structure.
Kinematic intensities with the Lorentz-polarization factor, no thermal factor.

Largest 8 diffraction maxima, in order of rising 2θ, 2θ from 10° to 90°:
2theta, d/Å, intensity
21.49, 4.135, 22
33.35, 2.686, 7
34.96, 2.567, 7
38.94, 2.313, 63
42.43, 2.130, 100
56.25, 1.635, 21
72.93, 1.297, 38
79.96, 1.200, 15

Structure:
```
FeAgIr2
1.0
-1.404 2.311 4.630
1.404 -2.311 4.630
1.404 2.311 -4.630
Fe Ag Ir
1 1 2
direct
0.000 0.000 0.000
0.743 0.243 0.500
0.231 0.731 0.500
0.472 0.472 0.000
```

---

(3)
SmGe2Te4: simulated powder X-ray diffraction pattern (copper Kα), based on a GGA-PBE-relaxed structure.
Kinematic intensities with the Lorentz-polarization factor, no thermal factor.

Largest 8 diffraction maxima, in order of rising 2θ, 2θ from 10° to 90°:
2theta, d/Å, intensity
28.76, 3.104, 64
29.01, 3.078, 100
31.14, 2.872, 43
39.35, 2.290, 40
40.55, 2.225, 32
42.38, 2.133, 29
43.22, 2.093, 39
52.02, 1.758, 25

Structure:
```
SmGe2Te4
1.0
2.133 -7.044 0.000
2.133 7.044 0.000
0.000 0.000 13.829
Sm Ge Te
2 4 8
direct
0.101 0.899 0.750
0.899 0.101 0.250
0.367 0.633 0.559
0.367 0.633 0.941
0.633 0.367 0.059
0.633 0.367 0.441
0.000 0.000 0.000
0.000 0.000 0.500
0.275 0.725 0.127
0.275 0.725 0.373
0.441 0.559 0.750
0.559 0.441 0.250
0.725 0.275 0.627
0.725 0.275 0.873
```

---

(4)
Sr2CdInPt6: simulated powder X-ray diffraction pattern (copper Kα), based on a GGA-PBE-relaxed structure.
Kinematic intensities with the Lorentz-polarization factor, no thermal factor.

Largest 8 diffraction maxima, in order of rising 2θ, 2θ from 10° to 90°:
2theta, d/Å, intensity
17.60, 5.040, 45
30.73, 2.910, 97
35.63, 2.520, 100
40.00, 2.254, 23
51.27, 1.782, 71
60.97, 1.520, 43
63.99, 1.455, 24
86.32, 1.127, 33

Structure:
```
Sr2CdInPt6
1.0
0.000 5.040 5.040
5.040 0.000 5.040
5.040 5.040 0.000
Sr Cd In Pt
2 1 1 6
direct
0.250 0.250 0.250
0.750 0.750 0.750
0.000 0.000 0.000
0.500 0.500 0.500
0.251 0.251 0.749
0.251 0.749 0.251
0.251 0.749 0.749
0.749 0.251 0.251
0.749 0.251 0.749
0.749 0.749 0.251
```